This entry pairs a crystal structure of KO4F3 with its simulated PXRD pattern. Radiation: a wavelength of 1.5418 Å. Structure: the PBE geometry in Alexandria.
Kinematic intensities with the Lorentz-polarization factor, no thermal factor.

Structure:
abc: 3.819 3.917 9.210
angles: 78.49 84.65 87.65
Space group P-1 (No. 2)
Inequivalent atoms, fractional coordinates:
K  0.000  0.000  0.000 [1 per cell]
O  0.302  0.469  0.266 [2 per cell]
O  0.432  0.313  0.375 [2 per cell]
F  0.013  0.204  0.695 [2 per cell]
F  0.500  0.500  0.000 [1 per cell]

Most intense lines, 10 to 90 degrees two-theta, in order of falling intensity:
- 2θ 32.25, rel. 100
- 2θ 29.81, rel. 91
- 2θ 33.56, rel. 57
- 2θ 26.23, rel. 38
- 2θ 42.03, rel. 24
- 2θ 46.41, rel. 24
- 2θ 43.66, rel. 23
- 2θ 32.78, rel. 21
- 2θ 27.43, rel. 20
- 2θ 46.85, rel. 18